Starting from the GGA-PBE geometry in Alexandria, the powder diffractogram of Mg4Cd2Ga3 was computed for copper Kα.
Kinematic intensities with the Lorentz-polarization factor, no thermal factor.

Principal peaks in the range 15° ≤ 2θ ≤ 90°, low angle first:
d/Å, two_theta, I_rel, (hkl)
4.707, 18.9, 23.4, 0 1 1
3.797, 23.4, 26.8, 0 1 2
3.391, 26.3, 20.6, 1 1 -1
2.519, 35.6, 51.2, 1 -1 0
2.507, 35.8, 52.5, 1 1 3
2.487, 36.1, 100.0, 1 0 -3
2.175, 41.5, 40.1, 2 1 0
2.167, 41.7, 32.5, 0 1 -3
2.153, 42.0, 31.6, 0 2 3
1.523, 60.8, 20.6, 0 1 6

Crystal structure
Lattice parameters (Å, degrees): 4.3507 5.2814 9.1407 73.33 89.42 66.16
Space group P-1 (No. 2)
One atom of each set of equivalent atoms:
Mg 0.0144 0.4696 0.3365 (multiplicity 2)
Mg 0.3380 0.8213 0.1084 (multiplicity 2)
Cd 0.3226 0.8596 0.7697 (multiplicity 2)
Ga 0.0000 0.5000 0.0000 (multiplicity 1)
Ga 0.3423 0.8058 0.4432 (multiplicity 2)